(1)
Computed PXRD pattern of Li3Ag for copper Kα, from a GGA-PBE-relaxed structure.

Structural model:
```
Li3Ag
1.0
5.815 0.000 0.000
-2.907 5.036 0.000
0.000 0.000 4.704
Li Ag
6 2
direct
0.171 0.342 0.250
0.171 0.829 0.250
0.342 0.171 0.750
0.658 0.829 0.250
0.829 0.171 0.750
0.829 0.658 0.750
0.333 0.667 0.750
0.667 0.333 0.250
```

The 8 most intense peaks (2θ from 15° to 90°), low angle first:
Position (°2θ)  I_rel
17.61  43
25.92  100
30.75  43
38.27  11
40.64  42
49.87  21
51.82  29
70.31  11


(2)
Computed PXRD pattern of Si for copper Kα, from a GGA-PBE-relaxed structure.

Structural model:
```
Si
1.0
8.406 -6.441 0.000
8.406 6.441 0.000
0.000 0.000 10.034
Si
46
direct
0.051 0.301 0.627
0.051 0.301 0.873
0.079 0.921 0.631
0.079 0.921 0.869
0.101 0.101 0.000
0.101 0.101 0.500
0.168 0.594 0.059
0.168 0.594 0.441
0.226 0.389 0.559
0.226 0.389 0.941
0.252 0.748 0.561
0.252 0.748 0.939
0.301 0.051 0.127
0.301 0.051 0.373
0.301 0.558 0.250
0.340 0.428 0.750
0.356 0.644 0.750
0.389 0.226 0.059
0.389 0.226 0.441
0.406 0.832 0.059
0.406 0.832 0.441
0.428 0.340 0.250
0.442 0.699 0.250
0.558 0.301 0.750
0.572 0.660 0.750
0.594 0.168 0.559
0.594 0.168 0.941
0.611 0.774 0.559
0.611 0.774 0.941
0.644 0.356 0.250
0.660 0.572 0.250
0.699 0.442 0.750
0.699 0.949 0.627
0.699 0.949 0.873
0.748 0.252 0.061
0.748 0.252 0.439
0.774 0.611 0.059
0.774 0.611 0.441
0.832 0.406 0.559
0.832 0.406 0.941
0.899 0.899 0.000
0.899 0.899 0.500
0.921 0.079 0.131
0.921 0.079 0.369
0.949 0.699 0.127
0.949 0.699 0.373
```

The 8 most intense peaks (2θ from 15° to 90°), low angle first:
Position (°2θ)  I_rel
17.30  21
19.45  100
19.71  34
31.95  46
32.81  28
52.45  26
52.95  24
53.43  26


(3)
Computed PXRD pattern of InHSeO4 for copper Kα, from a GGA-PBE-relaxed structure.

Structural model:
```
InHSeO4
1.0
5.782 0.000 0.000
0.992 8.129 0.000
1.511 0.161 8.162
In H Se O
4 4 4 16
direct
0.103 0.023 0.187
0.310 0.687 0.485
0.690 0.313 0.515
0.897 0.977 0.813
0.151 0.239 0.393
0.494 0.075 0.698
0.506 0.925 0.302
0.849 0.761 0.607
0.103 0.356 0.764
0.429 0.731 0.880
0.571 0.269 0.120
0.897 0.644 0.236
0.004 0.216 0.359
0.149 0.153 0.706
0.152 0.569 0.304
0.166 0.865 0.961
0.328 0.436 0.614
0.351 0.885 0.314
0.358 0.183 0.048
0.475 0.787 0.676
0.525 0.213 0.324
0.642 0.817 0.952
0.649 0.115 0.686
0.672 0.564 0.386
0.834 0.135 0.039
0.848 0.431 0.696
0.851 0.847 0.294
0.996 0.784 0.641
```

The 8 most intense peaks (2θ from 15° to 90°), low angle first:
Position (°2θ)  I_rel
15.23  29
18.06  43
24.18  100
27.83  48
28.51  30
29.04  60
31.50  28
34.83  28


(4)
Computed PXRD pattern of CeP2N2O9 for copper Kα, from a GGA-PBE-relaxed structure.

Structural model:
```
CeP2N2O9
1.0
-3.426 3.426 9.455
3.426 -3.426 9.455
3.426 3.426 -9.455
Ce P N O
2 4 4 18
direct
0.375 0.625 0.750
0.625 0.375 0.250
0.197 0.447 0.750
0.447 0.197 0.250
0.553 0.803 0.750
0.803 0.553 0.250
0.000 0.000 0.000
0.000 0.000 0.500
0.000 0.500 0.000
0.500 0.000 0.500
0.032 0.600 0.431
0.125 0.875 0.250
0.254 0.338 0.584
0.254 0.669 0.916
0.331 0.400 0.931
0.331 0.746 0.584
0.338 0.254 0.084
0.400 0.331 0.431
0.400 0.968 0.069
0.600 0.032 0.931
0.600 0.669 0.569
0.662 0.746 0.916
0.669 0.254 0.416
0.669 0.600 0.069
0.746 0.331 0.084
0.746 0.662 0.416
0.875 0.125 0.750
0.968 0.400 0.569
```

The 8 most intense peaks (2θ from 15° to 90°), low angle first:
Position (°2θ)  I_rel
20.60  44
26.01  100
26.93  64
29.53  55
32.27  33
33.93  57
42.82  29
51.16  46


(5)
Computed PXRD pattern of HfB12 for copper Kα, from a GGA-PBE-relaxed structure.

Structural model:
```
HfB12
1.0
0.000 3.692 3.692
3.692 0.000 3.692
3.692 3.692 0.000
Hf B
1 12
direct
0.000 0.000 0.000
0.161 0.500 0.500
0.161 0.500 0.839
0.161 0.839 0.500
0.500 0.161 0.500
0.500 0.161 0.839
0.500 0.500 0.161
0.500 0.500 0.839
0.500 0.839 0.161
0.500 0.839 0.500
0.839 0.161 0.500
0.839 0.500 0.161
0.839 0.500 0.500
```

The 8 most intense peaks (2θ from 15° to 90°), low angle first:
Position (°2θ)  I_rel
20.84  100
24.10  73
34.35  45
40.52  99
42.40  30
54.14  33
61.52  28
76.29  31


(6)
Computed PXRD pattern of CeGa3Pd for copper Kα, from a GGA-PBE-relaxed structure.

Structural model:
```
CeGa3Pd
1.0
3.202 -5.151 0.000
3.202 5.151 0.000
0.000 0.000 5.916
Ce Ga Pd
2 6 2
direct
0.234 0.766 0.750
0.766 0.234 0.250
0.284 0.284 0.000
0.284 0.284 0.500
0.335 0.665 0.250
0.665 0.335 0.750
0.716 0.716 0.000
0.716 0.716 0.500
0.094 0.906 0.250
0.906 0.094 0.750
```

The 8 most intense peaks (2θ from 15° to 90°), low angle first:
Position (°2θ)  I_rel
27.86  24
32.94  63
33.25  100
34.98  59
41.57  96
47.87  23
52.82  27
55.63  23


(7)
Computed PXRD pattern of LiSiC2 for copper Kα, from a GGA-PBE-relaxed structure.

Structural model:
```
LiSiC2
1.0
4.010 0.000 0.000
0.000 4.010 0.000
0.000 0.000 5.478
Li Si C
2 2 4
direct
0.000 0.000 0.250
0.000 0.000 0.750
0.500 0.500 0.250
0.500 0.500 0.750
0.177 0.500 0.000
0.500 0.177 0.500
0.500 0.823 0.500
0.823 0.500 0.000
```

The 8 most intense peaks (2θ from 15° to 90°), low angle first:
Position (°2θ)  I_rel
22.17  100
27.57  33
31.55  24
39.86  13
45.22  20
46.07  48
56.91  13
61.84  22


(8)
Computed PXRD pattern of HoOs2 for copper Kα, from a GGA-PBE-relaxed structure.

Structural model:
```
HoOs2
1.0
5.323 0.000 0.000
-2.661 4.610 0.000
0.000 0.000 8.810
Ho Os
4 8
direct
0.333 0.667 0.065
0.333 0.667 0.435
0.667 0.333 0.565
0.667 0.333 0.935
0.000 0.000 0.000
0.000 0.000 0.500
0.173 0.345 0.750
0.173 0.827 0.750
0.345 0.173 0.250
0.655 0.827 0.750
0.827 0.173 0.250
0.827 0.655 0.250
```

The 8 most intense peaks (2θ from 15° to 90°), low angle first:
Position (°2θ)  I_rel
36.27  70
39.56  100
40.45  94
44.36  26
61.93  24
64.20  25
66.84  37
70.81  29